Calculated X-ray powder pattern of LiFeGe2O6 for a wavelength of 1.5418 Å, from DFT lattice parameters and positions (GGA+U).
Kinematic intensities with the Lorentz-polarization factor, no thermal factor.

Cell and atoms:
```
data_LiFeGe2O6
_space_group_name_H-M_alt 'P 1 21/c 1'
_space_group_IT_number 14
_cell_length_a 9.7508
_cell_length_b 8.9372
_cell_length_c 5.4554
_cell_angle_alpha 90.00
_cell_angle_beta 103.05
_cell_angle_gamma 90.00
loop_
_space_group_symop_operation_xyz
'x,y,z'
'-x,-y,-z'
'-x,y+1/2,-z+1/2'
'x,-y+1/2,z+1/2'
loop_
_atom_site_label
_atom_site_type_symbol
_atom_site_fract_x
_atom_site_fract_y
_atom_site_fract_z
Li1 Li 0.2421 0.0112 0.4634
Fe1 Fe 0.2493 0.6508 0.4635
Ge1 Ge 0.0518 0.1602 0.8216
Ge2 Ge 0.4544 0.1580 0.2338
O1 O 0.1125 0.1908 0.1530
O2 O 0.1293 0.5034 0.2464
O3 O 0.1361 0.6683 0.7433
O4 O 0.3585 0.6682 0.1836
O5 O 0.3827 0.2094 0.4957
O6 O 0.3852 0.5201 0.6721
```

Top 10 peaks for 2θ from 10° to 80°, sorted by position:
| 2θ (°) | I_rel | (hkl) |
| --- | --- | --- |
| 19.43 | 26 | 0 1 1 |
| 19.87 | 34 | 0 2 0 |
| 24.27 | 22 | 2 1 -1 |
| 26.38 | 33 | 1 2 -1 |
| 29.01 | 100 | 1 2 1 |
| 29.94 | 79 | 3 1 0 |
| 34.76 | 47 | 2 0 -2 |
| 35.73 | 41 | 3 2 -1 |
| 55.20 | 25 | 4 3 1 |
| 65.57 | 21 | 6 3 -1 |

=====

Calculated X-ray powder pattern of LiFeGe2O6 for a wavelength of 1.5418 Å, from DFT lattice parameters and positions (GGA+U).
Kinematic intensities with the Lorentz-polarization factor, no thermal factor.

Cell and atoms:
```
data_LiFeGe2O6
_space_group_name_H-M_alt 'C 1 2/c 1'
_space_group_IT_number 15
_cell_length_a 9.7606
_cell_length_b 8.9457
_cell_length_c 5.2711
_cell_angle_alpha 90.00
_cell_angle_beta 102.29
_cell_angle_gamma 90.00
loop_
_space_group_symop_operation_xyz
'x,y,z'
'-x,-y,-z'
'-x,y,-z+1/2'
'x,-y,z+1/2'
'x+1/2,y+1/2,z'
'-x+1/2,-y+1/2,-z'
'-x+1/2,y+1/2,-z+1/2'
'x+1/2,-y+1/2,z+1/2'
loop_
_atom_site_label
_atom_site_type_symbol
_atom_site_fract_x
_atom_site_fract_y
_atom_site_fract_z
Li1 Li 0.0000 0.2297 0.2500
Fe1 Fe 0.0000 0.3997 0.7500
Ge1 Ge 0.2004 0.0922 0.7883
O1 O 0.1125 0.4187 0.1247
O2 O 0.1223 0.2518 0.6331
O3 O 0.1395 0.0655 0.0837
```

Top 10 peaks for 2θ from 10° to 80°, sorted by position:
| 2θ (°) | I_rel | (hkl) |
| --- | --- | --- |
| 19.85 | 35 | 0 2 0 |
| 20.35 | 64 | 1 1 -1 |
| 26.39 | 37 | 0 2 1 |
| 29.83 | 100 | 3 1 0 |
| 30.22 | 74 | 2 2 -1 |
| 34.62 | 86 | 2 2 1 |
| 34.84 | 44 | 0 0 2 |
| 35.04 | 53 | 1 3 -1 |
| 41.40 | 35 | 3 1 -2 |
| 63.69 | 33 | 5 3 1 |

=====

Calculated X-ray powder pattern of LiFeGe2O6 for a wavelength of 1.5418 Å, from DFT lattice parameters and positions (GGA+U).
Kinematic intensities with the Lorentz-polarization factor, no thermal factor.

Cell and atoms:
```
data_LiFeGe2O6
_space_group_name_H-M_alt 'C 1 2/c 1'
_space_group_IT_number 15
_cell_length_a 10.2226
_cell_length_b 8.7553
_cell_length_c 5.6043
_cell_angle_alpha 90.00
_cell_angle_beta 110.08
_cell_angle_gamma 90.00
loop_
_space_group_symop_operation_xyz
'x,y,z'
'-x,-y,-z'
'-x,y,-z+1/2'
'x,-y,z+1/2'
'x+1/2,y+1/2,z'
'-x+1/2,-y+1/2,-z'
'-x+1/2,y+1/2,-z+1/2'
'x+1/2,-y+1/2,z+1/2'
loop_
_atom_site_label
_atom_site_type_symbol
_atom_site_fract_x
_atom_site_fract_y
_atom_site_fract_z
Li1 Li 0.0000 0.2198 0.2500
Fe1 Fe 0.0000 0.4063 0.7500
Ge1 Ge 0.2106 0.0933 0.7518
O1 O 0.1046 0.4093 0.1434
O2 O 0.1367 0.0225 0.4336
O3 O 0.1416 0.2765 0.7050
```

Top 10 peaks for 2θ from 10° to 80°, sorted by position:
| 2θ (°) | I_rel | (hkl) |
| --- | --- | --- |
| 18.48 | 20 | 2 0 0 |
| 19.12 | 21 | 1 1 -1 |
| 20.29 | 27 | 0 2 0 |
| 26.48 | 28 | 0 2 1 |
| 28.86 | 100 | 2 2 -1 |
| 29.72 | 52 | 3 1 0 |
| 34.07 | 45 | 0 0 2 |
| 35.79 | 32 | 2 2 1 |
| 46.40 | 22 | 2 4 -1 |
| 54.83 | 23 | 5 3 -1 |

=====

Calculated X-ray powder pattern of MgFeGe2O6 for a wavelength of 1.5418 Å, from DFT lattice parameters and positions (GGA+U).
Kinematic intensities with the Lorentz-polarization factor, no thermal factor.

Cell and atoms:
```
data_MgFeGe2O6
_space_group_name_H-M_alt 'C 1 2/c 1'
_space_group_IT_number 15
_cell_length_a 9.8032
_cell_length_b 9.1768
_cell_length_c 5.2521
_cell_angle_alpha 90.00
_cell_angle_beta 100.37
_cell_angle_gamma 90.00
loop_
_space_group_symop_operation_xyz
'x,y,z'
'-x,-y,-z'
'-x,y,-z+1/2'
'x,-y,z+1/2'
'x+1/2,y+1/2,z'
'-x+1/2,-y+1/2,-z'
'-x+1/2,y+1/2,-z+1/2'
'x+1/2,-y+1/2,z+1/2'
loop_
_atom_site_label
_atom_site_type_symbol
_atom_site_fract_x
_atom_site_fract_y
_atom_site_fract_z
Mg1 Mg 0.0000 0.2289 0.2500
Fe1 Fe 0.0000 0.4077 0.7500
Ge1 Ge 0.1991 0.0942 0.7855
O1 O 0.1148 0.2390 0.6145
O2 O 0.1180 0.4051 0.1414
O3 O 0.1403 0.0689 0.0951
```

Top 10 peaks for 2θ from 10° to 80°, sorted by position:
| 2θ (°) | I_rel | (hkl) |
| --- | --- | --- |
| 25.97 | 42 | 0 2 1 |
| 29.44 | 100 | 3 1 0 |
| 30.11 | 81 | 2 2 -1 |
| 33.83 | 88 | 2 2 1 |
| 34.49 | 67 | 1 3 -1 |
| 34.73 | 56 | 0 0 2 |
| 41.91 | 33 | 3 1 -2 |
| 56.51 | 29 | 5 3 -1 |
| 60.98 | 35 | 1 3 -3 |
| 62.25 | 54 | 5 3 1 |

=====

- What is the formula in the first record?
  LiFeGe2O6